Starting from a crystal structure in Alexandria, relaxed with GGA-PBE, the X-ray powder pattern of CuGe5Pb3O14 was calculated for Cu Kα X-rays.
Intensities are scaled so that the largest is 100.

The 8 most intense peaks (10° ≤ 2θ ≤ 80°), low angle first:
d 4.290, 20.70°, rel. 31; d 3.360, 26.53°, rel. 100; d 3.300, 27.02°, rel. 80; d 3.248, 27.46°, rel. 42; d 3.039, 29.39°, rel. 41; d 2.999, 29.79°, rel. 44; d 2.970, 30.09°, rel. 36; d 2.640, 33.96°, rel. 41

Cell and atoms:
Unit cell a=9.999 b=9.999 c=10.561 alpha=120.78 beta=120.78 gamma=48.73
Fractional positions:
Cu: 0.000 0.000 0.000
Cu: 0.000 0.000 0.500
Ge: 0.157 0.518 0.367
Ge: 0.169 0.585 0.846
Ge: 0.219 0.781 0.750
Ge: 0.415 0.831 0.654
Ge: 0.482 0.843 0.133
Ge: 0.518 0.157 0.867
Ge: 0.585 0.169 0.346
Ge: 0.781 0.219 0.250
Ge: 0.831 0.415 0.154
Ge: 0.843 0.482 0.633
Pb: 0.157 0.217 0.937
Pb: 0.217 0.157 0.437
Pb: 0.350 0.650 0.250
Pb: 0.650 0.350 0.750
Pb: 0.783 0.843 0.563
Pb: 0.843 0.783 0.063
O: 0.004 0.449 0.319
O: 0.008 0.864 0.789
O: 0.094 0.753 0.014
O: 0.099 0.703 0.532
O: 0.122 0.574 0.217
O: 0.136 0.992 0.711
O: 0.247 0.906 0.486
O: 0.297 0.901 0.968
O: 0.314 0.377 0.913
O: 0.331 0.561 0.796
O: 0.377 0.314 0.413
O: 0.426 0.878 0.283
O: 0.439 0.669 0.704
O: 0.449 0.004 0.819
O: 0.551 0.996 0.181
O: 0.561 0.331 0.296
O: 0.574 0.122 0.717
O: 0.623 0.686 0.587
O: 0.669 0.439 0.204
O: 0.686 0.623 0.087
O: 0.703 0.099 0.032
O: 0.753 0.094 0.514
O: 0.864 0.008 0.289
O: 0.878 0.426 0.783
O: 0.901 0.297 0.468
O: 0.906 0.247 0.986
O: 0.992 0.136 0.211
O: 0.996 0.551 0.681



Starting from a crystal structure in Alexandria, relaxed with GGA-PBE, the X-ray powder pattern of Tb4RuSe2 was calculated for Cu Kα X-rays.
Intensities are scaled so that the largest is 100.

The 8 most intense peaks (10° ≤ 2θ ≤ 80°), low angle first:
d 3.123, 28.58°, rel. 100; d 2.909, 30.73°, rel. 57; d 2.848, 31.41°, rel. 72; d 2.689, 33.32°, rel. 57; d 2.250, 40.08°, rel. 64; d 2.001, 45.31°, rel. 25; d 1.930, 47.09°, rel. 30; d 1.642, 56.01°, rel. 31

Cell and atoms:
Unit cell a=6.904 b=6.904 c=14.165 alpha=90.00 beta=90.00 gamma=147.54
Fractional positions:
Tb: 0.000 0.000 0.000
Tb: 0.000 0.000 0.500
Tb: 0.297 0.703 0.630
Tb: 0.297 0.703 0.870
Tb: 0.453 0.547 0.250
Tb: 0.547 0.453 0.750
Tb: 0.703 0.297 0.130
Tb: 0.703 0.297 0.370
Ru: 0.103 0.897 0.250
Ru: 0.897 0.103 0.750
Se: 0.358 0.642 0.066
Se: 0.358 0.642 0.434
Se: 0.642 0.358 0.566
Se: 0.642 0.358 0.934



Starting from a crystal structure in Alexandria, relaxed with GGA-PBE, the X-ray powder pattern of Cs3Zn2F9 was calculated for Cu Kα X-rays.
Intensities are scaled so that the largest is 100.

The 8 most intense peaks (10° ≤ 2θ ≤ 80°), low angle first:
d 3.787, 23.49°, rel. 100; d 3.184, 28.02°, rel. 82; d 2.437, 36.88°, rel. 77; d 2.355, 38.22°, rel. 25; d 1.935, 46.95°, rel. 23; d 1.893, 48.05°, rel. 25; d 1.627, 56.55°, rel. 23; d 1.468, 63.34°, rel. 26

Cell and atoms:
Unit cell a=8.227 b=8.227 c=8.227 alpha=84.19 beta=84.19 gamma=84.19
Fractional positions:
Cs: 0.094 0.750 0.406
Cs: 0.250 0.594 0.906
Cs: 0.406 0.094 0.750
Cs: 0.594 0.906 0.250
Cs: 0.750 0.406 0.094
Cs: 0.906 0.250 0.594
Zn: 0.158 0.158 0.158
Zn: 0.342 0.342 0.342
Zn: 0.658 0.658 0.658
Zn: 0.842 0.842 0.842
F: 0.053 0.904 0.746
F: 0.096 0.254 0.947
F: 0.114 0.386 0.250
F: 0.246 0.404 0.553
F: 0.250 0.114 0.386
F: 0.254 0.947 0.096
F: 0.386 0.250 0.114
F: 0.404 0.553 0.246
F: 0.447 0.754 0.596
F: 0.553 0.246 0.404
F: 0.596 0.447 0.754
F: 0.614 0.750 0.886
F: 0.746 0.053 0.904
F: 0.750 0.886 0.614
F: 0.754 0.596 0.447
F: 0.886 0.614 0.750
F: 0.904 0.746 0.053
F: 0.947 0.096 0.254



Starting from a crystal structure in Alexandria, relaxed with GGA-PBE, the X-ray powder pattern of TbYEr was calculated for Cu Kα X-rays.
Intensities are scaled so that the largest is 100.

The 8 most intense peaks (10° ≤ 2θ ≤ 80°), low angle first:
d 6.020, 14.71°, rel. 3; d 2.896, 30.88°, rel. 100; d 2.508, 35.81°, rel. 50; d 1.773, 51.54°, rel. 36; d 1.513, 61.27°, rel. 21; d 1.511, 61.34°, rel. 21; d 1.448, 64.35°, rel. 12; d 1.253, 75.93°, rel. 4

Cell and atoms:
Unit cell a=7.934 b=10.021 c=5.015 alpha=90.00 beta=108.35 gamma=90.00
Fractional positions:
Tb: 0.169 0.125 0.085
Tb: 0.169 0.375 0.585
Tb: 0.831 0.625 0.415
Tb: 0.831 0.875 0.915
Y: 0.168 0.625 0.084
Y: 0.168 0.875 0.584
Y: 0.832 0.125 0.416
Y: 0.832 0.375 0.916
Er: 0.499 0.125 0.750
Er: 0.499 0.375 0.250
Er: 0.501 0.625 0.750
Er: 0.501 0.875 0.250



Starting from a crystal structure in Alexandria, relaxed with GGA-PBE, the X-ray powder pattern of PaSCl3 was calculated for Cu Kα X-rays.
Intensities are scaled so that the largest is 100.

The 8 most intense peaks (10° ≤ 2θ ≤ 80°), low angle first:
d 7.411, 11.94°, rel. 68; d 7.208, 12.28°, rel. 100; d 6.506, 13.61°, rel. 62; d 5.167, 17.16°, rel. 36; d 4.696, 18.90°, rel. 36; d 4.669, 19.01°, rel. 21; d 2.737, 32.72°, rel. 35; d 2.334, 38.58°, rel. 24

Cell and atoms:
Unit cell a=7.261 b=7.411 c=13.687 alpha=90.00 beta=96.96 gamma=90.00
Fractional positions:
Pa: 0.088 0.124 0.138
Pa: 0.088 0.876 0.638
Pa: 0.912 0.124 0.362
Pa: 0.912 0.876 0.862
S: 0.131 0.382 0.289
S: 0.131 0.618 0.789
S: 0.869 0.382 0.211
S: 0.869 0.618 0.711
Cl: 0.136 0.191 0.536
Cl: 0.136 0.809 0.036
Cl: 0.222 0.062 0.802
Cl: 0.222 0.938 0.302
Cl: 0.365 0.269 0.072
Cl: 0.365 0.731 0.572
Cl: 0.635 0.269 0.428
Cl: 0.635 0.731 0.928
Cl: 0.778 0.062 0.698
Cl: 0.778 0.938 0.198
Cl: 0.864 0.191 0.964
Cl: 0.864 0.809 0.464



Starting from a crystal structure in Alexandria, relaxed with GGA-PBE, the X-ray powder pattern of Tb7Dy2Mg2 was calculated for Cu Kα X-rays.
Intensities are scaled so that the largest is 100.

The 8 most intense peaks (10° ≤ 2θ ≤ 80°), low angle first:
d 2.865, 31.21°, rel. 100; d 2.857, 31.31°, rel. 34; d 2.502, 35.90°, rel. 46; d 2.438, 36.87°, rel. 21; d 1.769, 51.67°, rel. 16; d 1.748, 52.34°, rel. 16; d 1.744, 52.47°, rel. 15; d 1.506, 61.59°, rel. 24

Cell and atoms:
Unit cell a=5.003 b=7.738 c=9.274 alpha=103.46 beta=105.54 gamma=90.02
Fractional positions:
Tb: 0.000 0.000 0.000
Tb: 0.093 0.457 0.187
Tb: 0.274 0.362 0.547
Tb: 0.362 0.819 0.723
Tb: 0.638 0.181 0.277
Tb: 0.726 0.638 0.453
Tb: 0.907 0.543 0.813
Dy: 0.460 0.275 0.918
Dy: 0.540 0.725 0.082
Mg: 0.182 0.912 0.365
Mg: 0.818 0.088 0.635



Starting from a crystal structure in Alexandria, relaxed with GGA-PBE, the X-ray powder pattern of Ce6RhAu3 was calculated for Cu Kα X-rays.
Intensities are scaled so that the largest is 100.

The 8 most intense peaks (10° ≤ 2θ ≤ 80°), low angle first:
d 3.179, 28.07°, rel. 35; d 3.047, 29.32°, rel. 35; d 2.906, 30.77°, rel. 28; d 2.851, 31.38°, rel. 57; d 2.815, 31.78°, rel. 44; d 2.705, 33.12°, rel. 48; d 2.529, 35.50°, rel. 49; d 2.431, 36.97°, rel. 100

Cell and atoms:
Unit cell a=5.427 b=8.165 c=12.494 alpha=90.00 beta=111.02 gamma=90.00
Fractional positions:
Ce: 0.022 0.186 0.072
Ce: 0.022 0.314 0.572
Ce: 0.339 0.512 0.241
Ce: 0.339 0.988 0.741
Ce: 0.389 0.120 0.405
Ce: 0.389 0.380 0.905
Ce: 0.611 0.620 0.095
Ce: 0.611 0.880 0.595
Ce: 0.661 0.012 0.259
Ce: 0.661 0.488 0.759
Ce: 0.978 0.686 0.428
Ce: 0.978 0.814 0.928
Rh: 0.000 0.000 0.500
Rh: 0.000 0.500 0.000
Au: 0.116 0.647 0.706
Au: 0.116 0.853 0.206
Au: 0.500 0.000 0.000
Au: 0.500 0.500 0.500
Au: 0.884 0.147 0.794
Au: 0.884 0.353 0.294



Starting from a crystal structure in Alexandria, relaxed with GGA-PBE, the X-ray powder pattern of K3Rb2F5 was calculated for Cu Kα X-rays.
Intensities are scaled so that the largest is 100.

The 8 most intense peaks (10° ≤ 2θ ≤ 80°), low angle first:
d 3.296, 27.06°, rel. 20; d 3.129, 28.52°, rel. 56; d 2.871, 31.15°, rel. 100; d 2.637, 34.00°, rel. 45; d 2.129, 42.46°, rel. 20; d 1.949, 46.60°, rel. 24; d 1.944, 46.73°, rel. 20; d 1.935, 46.96°, rel. 24

Cell and atoms:
Unit cell a=7.204 b=7.204 c=9.969 alpha=124.21 beta=124.21 gamma=31.31
Fractional positions:
K: 0.000 0.000 0.000
K: 0.387 0.387 0.624
K: 0.613 0.613 0.376
Rb: 0.178 0.178 0.775
Rb: 0.822 0.822 0.225
F: 0.201 0.201 0.307
F: 0.406 0.406 0.088
F: 0.500 0.500 0.500
F: 0.594 0.594 0.912
F: 0.799 0.799 0.693



Starting from a crystal structure in Alexandria, relaxed with GGA-PBE, the X-ray powder pattern of Tb4Pm3Y4 was calculated for Cu Kα X-rays.
Intensities are scaled so that the largest is 100.

The 8 most intense peaks (10° ≤ 2θ ≤ 80°), low angle first:
d 2.948, 30.32°, rel. 12; d 2.901, 30.82°, rel. 25; d 2.842, 31.48°, rel. 100; d 2.837, 31.54°, rel. 52; d 2.032, 44.60°, rel. 18; d 1.642, 56.01°, rel. 23; d 1.627, 56.57°, rel. 10; d 1.494, 62.15°, rel. 28

Cell and atoms:
Unit cell a=3.511 b=5.693 c=18.325 alpha=98.91 beta=95.49 gamma=90.00
Fractional positions:
Tb: 0.045 0.046 0.091
Tb: 0.181 0.681 0.362
Tb: 0.819 0.319 0.638
Tb: 0.955 0.954 0.909
Pm: 0.363 0.863 0.726
Pm: 0.500 0.500 0.000
Pm: 0.637 0.137 0.274
Y: 0.091 0.592 0.181
Y: 0.234 0.233 0.467
Y: 0.766 0.767 0.533
Y: 0.909 0.408 0.819



Starting from a crystal structure in Alexandria, relaxed with GGA-PBE, the X-ray powder pattern of AgPdBr3 was calculated for Cu Kα X-rays.
Intensities are scaled so that the largest is 100.

The 8 most intense peaks (10° ≤ 2θ ≤ 80°), low angle first:
d 8.176, 10.82°, rel. 27; d 6.591, 13.43°, rel. 24; d 5.134, 17.27°, rel. 27; d 5.037, 17.61°, rel. 100; d 3.288, 27.12°, rel. 43; d 2.709, 33.06°, rel. 36; d 2.654, 33.78°, rel. 42; d 2.149, 42.05°, rel. 23

Cell and atoms:
Unit cell a=10.617 b=10.617 c=6.775 alpha=98.45 beta=98.45 gamma=100.72
Fractional positions:
Ag: 0.135 0.865 0.750
Ag: 0.143 0.857 0.250
Ag: 0.857 0.143 0.750
Ag: 0.865 0.135 0.250
Pd: 0.187 0.323 0.506
Pd: 0.323 0.187 0.006
Pd: 0.677 0.813 0.994
Pd: 0.813 0.677 0.494
Br: 0.012 0.655 0.347
Br: 0.055 0.286 0.163
Br: 0.286 0.055 0.663
Br: 0.325 0.384 0.851
Br: 0.345 0.988 0.153
Br: 0.384 0.325 0.351
Br: 0.616 0.675 0.649
Br: 0.655 0.012 0.847
Br: 0.675 0.616 0.149
Br: 0.714 0.945 0.337
Br: 0.945 0.714 0.837
Br: 0.988 0.345 0.653



Starting from a crystal structure in Alexandria, relaxed with GGA-PBE, the X-ray powder pattern of Ac2PmScO6 was calculated for Cu Kα X-rays.
Intensities are scaled so that the largest is 100.

The 8 most intense peaks (10° ≤ 2θ ≤ 80°), low angle first:
d 4.289, 20.71°, rel. 46; d 3.075, 29.04°, rel. 43; d 3.042, 29.36°, rel. 100; d 3.025, 29.53°, rel. 99; d 2.991, 29.87°, rel. 47; d 2.145, 42.13°, rel. 65; d 1.739, 52.64°, rel. 33; d 1.730, 52.93°, rel. 23

Cell and atoms:
Unit cell a=5.982 b=6.150 c=10.423 alpha=90.00 beta=124.56 gamma=90.00
Fractional positions:
Ac: 0.236 0.047 0.251
Ac: 0.236 0.453 0.751
Ac: 0.764 0.547 0.249
Ac: 0.764 0.953 0.749
Pm: 0.500 0.000 0.000
Pm: 0.500 0.500 0.500
Sc: 0.000 0.000 0.500
Sc: 0.000 0.500 0.000
O: 0.126 0.212 0.938
O: 0.126 0.288 0.438
O: 0.229 0.691 0.942
O: 0.229 0.809 0.442
O: 0.349 0.046 0.738
O: 0.349 0.454 0.238
O: 0.651 0.546 0.762
O: 0.651 0.954 0.262
O: 0.771 0.191 0.558
O: 0.771 0.309 0.058
O: 0.874 0.712 0.562
O: 0.874 0.788 0.062